Entry 1:
This entry pairs a crystal structure of CaGa3Pd3 with its simulated X-ray diffraction stick pattern. Radiation: copper Kα. Structure: a DFT-relaxed cell (PBE, Alexandria).
No peak broadening, texture or thermal motion is included.

Atomic structure:
a = 6.8980 Å, b = 6.8980 Å, c = 18.4642 Å
α = 90.00°, β = 90.00°, γ = 120.00°
Space group R-3 (No. 148, hexagonal axes)
Unique sites:
1 Ca 0.0000 0.0000 0.1609 [6 per cell]
2 Ga 0.0241 0.4160 0.3773 [18 per cell]
3 Pd 0.0066 0.2419 0.5724 [18 per cell]

Principal peaks in the range 2θ = 10–80°, sorted by position:
(hkl), d/Å, two_theta, intensity
1 1 0, 3.449, 25.8, 43
0 0 6, 3.077, 29.0, 41
2 -1 3, 3.009, 29.7, 45
2 -1 6, 2.296, 39.2, 100
2 1 1, 2.241, 40.2, 93
1 2 2, 2.193, 41.2, 96
3 -1 4, 2.028, 44.7, 33
1 1 9, 1.763, 51.9, 41

***

Entry 2:
This entry pairs a crystal structure of Cd5S4Cl2 with its simulated X-ray diffraction stick pattern. Radiation: copper Kα. Structure: a DFT-relaxed cell (PBE, Alexandria).
No peak broadening, texture or thermal motion is included.

Atomic structure:
a = 6.765 Å, b = 12.886 Å, c = 14.141 Å
α = 90.00°, β = 90.00°, γ = 90.00°
Space group Ibam (No. 72)
Unique sites:
1 Cd 0.000 0.000 0.250 [4 per cell]
2 Cd 0.000 0.296 0.250 [8 per cell]
3 Cd 0.195 0.401 0.000 [8 per cell]
4 S 0.198 0.142 0.336 [16 per cell]
5 Cl 0.191 0.395 0.500 [8 per cell]

Principal peaks in the range 2θ = 10–80°, sorted by position:
(hkl), d/Å, two_theta, intensity
1 1 2, 4.570, 19.4, 43
1 2 1, 4.431, 20.0, 75
1 3 0, 3.626, 24.5, 45
0 0 4, 3.535, 25.2, 85
1 3 2, 3.226, 27.7, 53
2 0 2, 3.051, 29.3, 100
0 4 2, 2.932, 30.5, 49
1 3 4, 2.531, 35.5, 51

***

Entry 3:
This entry pairs a crystal structure of SnBi2Pb2 with its simulated X-ray diffraction stick pattern. Radiation: copper Kα. Structure: a DFT-relaxed cell (PBE, Alexandria).
No peak broadening, texture or thermal motion is included.

Atomic structure:
a = 3.412 Å, b = 5.512 Å, c = 8.698 Å
α = 105.28°, β = 94.34°, γ = 95.45°
Space group P-1 (No. 2)
Unique sites:
1 Sn 0.000 0.000 0.000 [1 per cell]
2 Bi 0.443 0.599 0.195 [2 per cell]
3 Pb 0.270 0.796 0.600 [2 per cell]

Principal peaks in the range 2θ = 10–80°, sorted by position:
(hkl), d/Å, two_theta, intensity
0 1 2, 2.910, 30.7, 100
1 -1 1, 2.892, 30.9, 87
0 1 -3, 2.795, 32.0, 90
1 0 -2, 2.771, 32.3, 77
0 2 -1, 2.741, 32.7, 86
1 1 0, 2.702, 33.2, 74
1 0 3, 2.044, 44.3, 38
0 0 5, 1.668, 55.0, 37

***

What did the second record say?
This entry pairs a crystal structure of Cd5S4Cl2 with its simulated X-ray diffraction stick pattern. Radiation: copper Kα. Structure: a DFT-relaxed cell (PBE, Alexandria).
No peak broadening, texture or thermal motion is included.

Atomic structure:
a = 6.765 Å, b = 12.886 Å, c = 14.141 Å
α = 90.00°, β = 90.00°, γ = 90.00°
Space group Ibam (No. 72)
Unique sites:
1 Cd 0.000 0.000 0.250 [4 per cell]
2 Cd 0.000 0.296 0.250 [8 per cell]
3 Cd 0.195 0.401 0.000 [8 per cell]
4 S 0.198 0.142 0.336 [16 per cell]
5 Cl 0.191 0.395 0.500 [8 per cell]

Principal peaks in the range 2θ = 10–80°, sorted by position:
(hkl), d/Å, two_theta, intensity
1 1 2, 4.570, 19.4, 43
1 2 1, 4.431, 20.0, 75
1 3 0, 3.626, 24.5, 45
0 0 4, 3.535, 25.2, 85
1 3 2, 3.226, 27.7, 53
2 0 2, 3.051, 29.3, 100
0 4 2, 2.932, 30.5, 49
1 3 4, 2.531, 35.5, 51